# Pr2ScAs4Rh3
Computed powder XRD pattern, Cu Kα X-rays. Input: a crystal structure in Alexandria, relaxed with GGA-PBE.
Neutral-atom scattering factors, no anomalous dispersion.

Unit cell a=4.3150 b=4.3150 c=10.6013 alpha=90.00 beta=90.00 gamma=90.00
Space group P-4m2 (No. 115)
Unique sites:
Pr  0.0000  0.5000  0.2302 [2 per cell]
Sc  0.0000  0.0000  0.5000 [1 per cell]
As  0.0000  0.0000  0.0000 [1 per cell]
As  0.0000  0.5000  0.6492 [2 per cell]
As  0.5000  0.5000  0.0000 [1 per cell]
Rh  0.0000  0.5000  0.8851 [2 per cell]
Rh  0.5000  0.5000  0.5000 [1 per cell]

The 10 most intense peaks (2θ = 5–70°), low angle first:
h k l  2θ (°)  I (rel.)
0 0 1  8.34  18.7
1 1 0  29.27  23.4
1 0 3  32.76  71.6
1 1 2  33.90  100.0
2 0 0  41.87  67.8
1 1 4  45.32  17.5
1 0 5  47.80  23.8
2 1 3  54.15  34.0
2 2 0  60.71  22.2
2 1 5  65.39  18.6